Simulated PXRD pattern
Compound: MnP2H2O8
Radiation: Cu Kα (λ = 1.5418 Å)
Structure: a DFT-relaxed cell (GGA+U, Alexandria)

```
data_MnP2H2O8
_chemical_formula_sum 'Mn4 P8 H8 O32'
_cell_length_a 7.8269
_cell_length_b 15.5333
_cell_length_c 5.1381
_cell_angle_alpha 90.00
_cell_angle_beta 100.10
_cell_angle_gamma 90.00
_space_group_name_H-M_alt 'P 1 21/c 1'
_space_group_IT_number 14
_space_group_name_Hall '-P 2ybc'
loop_
_atom_site_label
_atom_site_type_symbol
_atom_site_fract_x
_atom_site_fract_y
_atom_site_fract_z
_atom_site_occupancy
Mn1 Mn 0.2063 0.0007 0.1899 1
P1 P 0.1606 0.1186 0.6785 1
P2 P 0.3715 0.6060 0.2623 1
H1 H 0.0513 0.2433 0.5389 1
H2 H 0.3763 0.7428 0.3658 1
O1 O 0.0599 0.2075 0.7007 1
O2 O 0.0825 0.0570 0.8637 1
O3 O 0.1173 0.0939 0.3843 1
O4 O 0.2732 0.5946 0.4933 1
O5 O 0.2830 0.5629 0.0098 1
O6 O 0.3587 0.1281 0.7629 1
O7 O 0.3664 0.7071 0.2038 1
O8 O 0.4378 0.0753 0.1756 1
```

Most intense lines, 10 to 90 degrees two-theta, most intense first:
2θ 11.39, intensity 100; 2θ 25.85, intensity 73; 2θ 23.79, intensity 29; 2θ 25.43, intensity 21; 2θ 34.81, intensity 18; 2θ 28.54, intensity 18; 2θ 36.85, intensity 15; 2θ 35.48, intensity 13; 2θ 23.08, intensity 12; 2θ 28.90, intensity 11